No. 1
For Sr2Ge2Se5, a cell relaxed with PBE gives the computed powder diffraction line list in this record (copper Kα).
Intensities are scaled so that the largest is 100.

Cell and atoms:
a = 8.606 Å, b = 12.468 Å, c = 12.248 Å
α = 90.00°, β = 130.57°, γ = 90.00°
Positions (direct):
1 Sr 0.012 0.162 0.467
2 Sr 0.012 0.338 0.967
3 Sr 0.465 0.699 0.524
4 Sr 0.465 0.801 0.024
5 Sr 0.535 0.199 0.976
6 Sr 0.535 0.301 0.476
7 Sr 0.988 0.662 0.033
8 Sr 0.988 0.838 0.533
9 Ge 0.159 0.050 0.164
10 Ge 0.159 0.450 0.664
11 Ge 0.485 0.019 0.687
12 Ge 0.485 0.481 0.187
13 Ge 0.515 0.519 0.813
14 Ge 0.515 0.981 0.313
15 Ge 0.841 0.550 0.336
16 Ge 0.841 0.950 0.836
17 Se 0.063 0.206 0.220
18 Se 0.063 0.294 0.720
19 Se 0.097 0.090 0.940
20 Se 0.097 0.410 0.440
21 Se 0.251 0.558 0.957
22 Se 0.251 0.942 0.457
23 Se 0.326 0.509 0.288
24 Se 0.326 0.991 0.788
25 Se 0.485 0.712 0.797
26 Se 0.485 0.788 0.297
27 Se 0.515 0.212 0.703
28 Se 0.515 0.288 0.203
29 Se 0.674 0.009 0.212
30 Se 0.674 0.491 0.712
31 Se 0.749 0.058 0.543
32 Se 0.749 0.442 0.043
33 Se 0.903 0.590 0.560
34 Se 0.903 0.910 0.060
35 Se 0.937 0.706 0.280
36 Se 0.937 0.794 0.780

Largest 10 diffraction maxima, low angle first, 15 to 90 degrees two-theta:
2theta	I (rel.)	h k l
25.5	43	1 2 1
27.3	27	2 0 0
30.2	100	2 1 -4
30.5	47	1 4 -1
30.9	50	2 2 0
31.1	35	1 3 -3
31.8	29	1 4 0
32.1	38	3 1 -3
32.7	29	2 2 -4
34.6	30	0 4 2

---

No. 2
For HoNiSb2, a cell relaxed with PBE gives the computed powder diffraction line list in this record (copper Kα).
Intensities are scaled so that the largest is 100.

Cell and atoms:
a = 4.371 Å, b = 4.371 Å, c = 9.328 Å
α = 90.00°, β = 90.00°, γ = 90.00°
Positions (direct):
1 Ho 0.250 0.250 0.238
2 Ho 0.750 0.750 0.762
3 Ni 0.250 0.750 0.000
4 Ni 0.750 0.250 0.000
5 Sb 0.250 0.250 0.856
6 Sb 0.250 0.750 0.500
7 Sb 0.750 0.250 0.500
8 Sb 0.750 0.750 0.144

Largest 10 diffraction maxima, low angle first, 15 to 90 degrees two-theta:
2theta	I (rel.)	h k l
28.7	12	0 0 3
30.5	20	1 1 1
34.8	100	1 1 2
35.4	30	1 0 3
41.3	49	2 0 0
53.4	15	1 0 5
55.5	16	2 1 3
59.9	16	2 2 0
69.7	14	2 1 5
71.1	24	3 1 2